Entry 1:
This entry pairs a crystal structure of Zr3TlIn with its calculated XRD peak list. Radiation: Cu Kα (λ = 1.5418 Å). Structure: a DFT-relaxed cell (PBE, Alexandria).
Lines closer than 0.1° are merged.

Structure:
Lattice parameters (Å, degrees): 12.9069 9.1511 10.1001 90.00 127.73 90.00
Space group C2/c (No. 15)
Symmetry-distinct sites (fractional):
Zr: 0.0915 0.1517 0.0570 [8 per cell]
Zr: 0.1989 0.4720 0.0911 [8 per cell]
Zr: 0.2099 0.1604 0.5795 [8 per cell]
Tl: 0.1221 0.3283 0.7649 [8 per cell]
In: 0.0000 0.0149 0.2500 [4 per cell]
In: 0.0000 0.3489 0.2500 [4 per cell]

The 10 most intense peaks (10° ≤ 2θ ≤ 80°), in order of rising 2θ:
30.6 deg, intensity 17, (1 1 -3); 34.0 deg, intensity 14, (4 2 -2); 34.7 deg, intensity 100, (1 3 -2); 35.6 deg, intensity 54, (4 2 -1); 35.8 deg, intensity 31, (3 1 1); 36.8 deg, intensity 35, (5 1 -3); 37.0 deg, intensity 32, (2 0 -4); 61.2 deg, intensity 15, (8 0 -2); 62.6 deg, intensity 14, (5 5 -3); 73.0 deg, intensity 14, (9 3 -4)

Entry 2:
This entry pairs a crystal structure of In3SBr7 with its calculated XRD peak list. Radiation: Cu Kα (λ = 1.5418 Å). Structure: a DFT-relaxed cell (PBE, Alexandria).
Lines closer than 0.1° are merged.

Structure:
Lattice parameters (Å, degrees): 13.5960 7.8502 9.6570 90.00 134.55 90.00
Space group Cm (No. 8)
Symmetry-distinct sites (fractional):
In: 0.0000 0.0000 0.0000 [2 per cell]
In: 0.2355 0.2355 0.9997 [4 per cell]
S: 0.0548 0.0000 0.7951 [2 per cell]
Br: 0.0566 0.5000 0.7898 [2 per cell]
Br: 0.1963 0.2450 0.2425 [4 per cell]
Br: 0.2998 0.2561 0.7885 [4 per cell]
Br: 0.4409 0.0000 0.2413 [2 per cell]
Br: 0.4421 0.5000 0.2363 [2 per cell]

The 10 most intense peaks (10° ≤ 2θ ≤ 80°), in order of rising 2θ:
12.9 deg, intensity 63, (0 0 1); 14.5 deg, intensity 13, (1 1 -1); 29.3 deg, intensity 100, (4 0 -3); 37.2 deg, intensity 47, (2 2 1); 37.2 deg, intensity 15, (4 0 -4); 46.3 deg, intensity 34, (0 4 0); 47.8 deg, intensity 10, (4 0 1); 47.9 deg, intensity 20, (2 2 -4); 48.2 deg, intensity 9, (6 2 -2); 55.7 deg, intensity 15, (4 4 -3)

Entry 3:
This entry pairs a crystal structure of HoEr6Sc3 with its calculated XRD peak list. Radiation: Cu Kα (λ = 1.5418 Å). Structure: a DFT-relaxed cell (PBE, Alexandria).
Lines closer than 0.1° are merged.

Structure:
Lattice parameters (Å, degrees): 9.3097 20.1936 6.1810 90.00 90.00 90.00
Space group Cmc2_1 (No. 36)
Symmetry-distinct sites (fractional):
Ho: 0.0000 0.1589 0.0000 [4 per cell]
Er: 0.0000 0.0147 0.7805 [4 per cell]
Er: 0.0000 0.3026 0.7745 [4 per cell]
Er: 0.1778 0.2816 0.3108 [8 per cell]
Er: 0.1802 0.4428 0.5656 [8 per cell]
Sc: 0.0000 0.4168 0.0876 [4 per cell]
Sc: 0.1678 0.1265 0.4715 [8 per cell]

The 10 most intense peaks (10° ≤ 2θ ≤ 80°), in order of rising 2θ:
16.8 deg, intensity 26, (0 2 1); 29.1 deg, intensity 22, (3 1 0); 29.8 deg, intensity 54, (2 4 1); 30.2 deg, intensity 40, (0 2 2); 32.6 deg, intensity 100, (1 7 0); 33.3 deg, intensity 54, (1 3 2); 34.0 deg, intensity 21, (0 4 2); 35.0 deg, intensity 32, (3 3 1); 36.0 deg, intensity 37, (2 2 2); 59.6 deg, intensity 24, (6 0 0)